1.
The following is a theoretical powder diffraction line list of MnWSN2. It was derived from the PBE geometry in Alexandria, using Cu Kα.

Crystal structure
Unit cell a=3.886 b=3.886 c=5.008 alpha=90.00 beta=90.00 gamma=90.00
Atoms (fractional coordinates):
Mn 0.000 0.000 0.000
W 0.500 0.500 0.500
S 0.500 0.500 0.000
N 0.000 0.500 0.500
N 0.500 0.000 0.500

Top 10 peaks for 2θ from 10° to 90°, low angle first:
d = 5.008 Å, I = 273; d = 3.886 Å, I = 548; d = 3.070 Å, I = 1000; d = 2.748 Å, I = 530; d = 2.504 Å, I = 307; d = 1.943 Å, I = 280; d = 1.851 Å, I = 337; d = 1.642 Å, I = 324; d = 1.535 Å, I = 382; d = 1.204 Å, I = 226


2.
The following is a theoretical powder diffraction line list of Tb2Ho2Ir3. It was derived from the PBE geometry in Alexandria, using Cu Kα.

Crystal structure
Unit cell a=8.341 b=4.821 c=8.358 alpha=90.00 beta=109.44 gamma=90.00
Atoms (fractional coordinates):
Tb 0.124 0.000 0.370
Tb 0.376 0.500 0.630
Tb 0.624 0.500 0.370
Tb 0.876 0.000 0.630
Ho 0.125 0.500 0.877
Ho 0.375 0.000 0.123
Ho 0.625 0.000 0.877
Ho 0.875 0.500 0.123
Ir 0.000 0.500 0.500
Ir 0.249 0.500 0.247
Ir 0.251 0.000 0.753
Ir 0.500 0.000 0.500
Ir 0.749 0.000 0.247
Ir 0.751 0.500 0.753

Top 10 peaks for 2θ from 10° to 90°, low angle first:
d = 7.881 Å, I = 53; d = 4.109 Å, I = 52; d = 3.936 Å, I = 59; d = 2.410 Å, I = 1000; d = 2.056 Å, I = 31; d = 1.704 Å, I = 176; d = 1.392 Å, I = 270; d = 1.391 Å, I = 90; d = 1.206 Å, I = 75; d = 1.204 Å, I = 38


3.
The following is a theoretical powder diffraction line list of AlHg2Sb. It was derived from the PBE geometry in Alexandria, using Cu Kα.

Crystal structure
Unit cell a=7.449 b=4.277 c=7.228 alpha=90.00 beta=109.69 gamma=90.00
Atoms (fractional coordinates):
Al 0.000 0.000 0.000
Al 0.500 0.500 0.000
Hg 0.253 0.000 0.755
Hg 0.493 0.000 0.480
Hg 0.753 0.500 0.755
Hg 0.993 0.500 0.480
Sb 0.222 0.500 0.167
Sb 0.722 0.000 0.167

Top 10 peaks for 2θ from 10° to 90°, low angle first:
d = 6.805 Å, I = 113; d = 3.654 Å, I = 267; d = 3.003 Å, I = 1000; d = 2.741 Å, I = 187; d = 2.147 Å, I = 285; d = 2.138 Å, I = 141; d = 2.112 Å, I = 98; d = 2.099 Å, I = 195; d = 1.741 Å, I = 139; d = 1.555 Å, I = 112


4.
The following is a theoretical powder diffraction line list of PmNiAg2. It was derived from the PBE geometry in Alexandria, using Cu Kα.

Crystal structure
Unit cell a=5.281 b=13.287 c=5.197 alpha=90.00 beta=119.41 gamma=90.00
Atoms (fractional coordinates):
Pm 0.000 0.149 0.250
Pm 0.000 0.851 0.750
Pm 0.500 0.351 0.750
Pm 0.500 0.649 0.250
Ni 0.000 0.249 0.750
Ni 0.000 0.751 0.250
Ni 0.500 0.251 0.250
Ni 0.500 0.749 0.750
Ag 0.174 0.416 0.090
Ag 0.174 0.584 0.590
Ag 0.326 0.084 0.910
Ag 0.326 0.916 0.410
Ag 0.674 0.084 0.590
Ag 0.674 0.916 0.090
Ag 0.826 0.416 0.410
Ag 0.826 0.584 0.910

Top 10 peaks for 2θ from 10° to 90°, low angle first:
d = 3.322 Å, I = 296; d = 3.191 Å, I = 351; d = 2.678 Å, I = 392; d = 2.592 Å, I = 286; d = 2.550 Å, I = 791; d = 2.453 Å, I = 1000; d = 2.291 Å, I = 520; d = 2.269 Å, I = 805; d = 2.142 Å, I = 305; d = 1.321 Å, I = 223


5.
The following is a theoretical powder diffraction line list of Ce3AlTc4. It was derived from the PBE geometry in Alexandria, using Cu Kα.

Crystal structure
Unit cell a=5.613 b=6.640 c=8.945 alpha=90.00 beta=90.00 gamma=90.00
Atoms (fractional coordinates):
Ce 0.000 0.000 0.000
Ce 0.000 0.227 0.630
Ce 0.000 0.773 0.630
Ce 0.500 0.273 0.130
Ce 0.500 0.500 0.500
Ce 0.500 0.727 0.130
Al 0.000 0.500 0.083
Al 0.500 0.000 0.583
Tc 0.000 0.309 0.329
Tc 0.000 0.691 0.329
Tc 0.234 0.500 0.838
Tc 0.266 0.000 0.338
Tc 0.500 0.191 0.829
Tc 0.500 0.809 0.829
Tc 0.734 0.000 0.338
Tc 0.766 0.500 0.838

Top 10 peaks for 2θ from 10° to 90°, low angle first:
d = 3.095 Å, I = 237; d = 2.806 Å, I = 237; d = 2.722 Å, I = 1000; d = 2.666 Å, I = 234; d = 2.633 Å, I = 623; d = 2.483 Å, I = 425; d = 2.143 Å, I = 217; d = 2.063 Å, I = 213; d = 1.547 Å, I = 290; d = 1.361 Å, I = 196


6.
The following is a theoretical powder diffraction line list of PaAlB2O8. It was derived from the PBE geometry in Alexandria, using Cu Kα.

Crystal structure
Unit cell a=4.752 b=4.752 c=6.354 alpha=90.00 beta=90.00 gamma=120.00
Atoms (fractional coordinates):
Pa 0.000 0.000 0.000
Al 0.000 0.000 0.500
B 0.333 0.667 0.229
B 0.667 0.333 0.771
O 0.166 0.333 0.300
O 0.166 0.834 0.300
O 0.333 0.166 0.700
O 0.333 0.667 0.997
O 0.667 0.333 0.003
O 0.667 0.834 0.300
O 0.834 0.166 0.700
O 0.834 0.667 0.700

Top 10 peaks for 2θ from 10° to 90°, low angle first:
d = 6.354 Å, I = 604; d = 4.115 Å, I = 1000; d = 3.454 Å, I = 696; d = 2.515 Å, I = 509; d = 2.376 Å, I = 293; d = 2.225 Å, I = 399; d = 1.957 Å, I = 200; d = 1.903 Å, I = 364; d = 1.727 Å, I = 252; d = 1.397 Å, I = 178


7.
The following is a theoretical powder diffraction line list of BeSi2Ge2Rh5. It was derived from the PBE geometry in Alexandria, using Cu Kα.

Crystal structure
Unit cell a=10.021 b=10.021 c=2.819 alpha=90.00 beta=90.00 gamma=90.00
Atoms (fractional coordinates):
Be 0.000 0.000 0.000
Be 0.500 0.500 0.000
Si 0.148 0.352 0.000
Si 0.352 0.852 0.000
Si 0.648 0.148 0.000
Si 0.852 0.648 0.000
Ge 0.154 0.654 0.000
Ge 0.346 0.154 0.000
Ge 0.654 0.846 0.000
Ge 0.846 0.346 0.000
Rh 0.000 0.500 0.500
Rh 0.136 0.153 0.500
Rh 0.153 0.864 0.500
Rh 0.347 0.364 0.500
Rh 0.364 0.653 0.500
Rh 0.500 0.000 0.500
Rh 0.636 0.347 0.500
Rh 0.653 0.636 0.500
Rh 0.847 0.136 0.500
Rh 0.864 0.847 0.500

Top 10 peaks for 2θ from 10° to 90°, low angle first:
d = 3.543 Å, I = 123; d = 3.169 Å, I = 360; d = 2.819 Å, I = 135; d = 2.505 Å, I = 333; d = 2.241 Å, I = 188; d = 2.106 Å, I = 1000; d = 1.810 Å, I = 259; d = 1.771 Å, I = 200; d = 1.670 Å, I = 173; d = 1.192 Å, I = 347


8.
The following is a theoretical powder diffraction line list of Na2Cd5PdPt2. It was derived from the PBE geometry in Alexandria, using Cu Kα.

Crystal structure
Unit cell a=10.757 b=10.757 c=3.694 alpha=90.00 beta=90.00 gamma=90.00
Atoms (fractional coordinates):
Na 0.171 0.329 0.000
Na 0.329 0.829 0.000
Na 0.671 0.171 0.000
Na 0.829 0.671 0.000
Cd 0.000 0.500 0.500
Cd 0.064 0.810 0.500
Cd 0.190 0.064 0.500
Cd 0.310 0.564 0.500
Cd 0.436 0.310 0.500
Cd 0.500 0.000 0.500
Cd 0.564 0.690 0.500
Cd 0.690 0.436 0.500
Cd 0.810 0.936 0.500
Cd 0.936 0.190 0.500
Pd 0.000 0.000 0.000
Pd 0.500 0.500 0.000
Pt 0.132 0.632 0.000
Pt 0.368 0.132 0.000
Pt 0.632 0.868 0.000
Pt 0.868 0.368 0.000

Top 10 peaks for 2θ from 10° to 90°, low angle first:
d = 5.379 Å, I = 115; d = 4.811 Å, I = 789; d = 2.609 Å, I = 133; d = 2.535 Å, I = 136; d = 2.502 Å, I = 1000; d = 2.321 Å, I = 447; d = 2.174 Å, I = 153; d = 2.131 Å, I = 160; d = 1.998 Å, I = 158; d = 1.847 Å, I = 166


9.
The following is a theoretical powder diffraction line list of Sr3Mg3Hg2. It was derived from the PBE geometry in Alexandria, using Cu Kα.

Crystal structure
Unit cell a=8.929 b=17.757 c=6.476 alpha=90.00 beta=90.00 gamma=90.00
Atoms (fractional coordinates):
Sr 0.033 0.109 0.114
Sr 0.033 0.391 0.114
Sr 0.169 0.250 0.632
Sr 0.331 0.750 0.132
Sr 0.467 0.609 0.614
Sr 0.467 0.891 0.614
Sr 0.533 0.109 0.386
Sr 0.533 0.391 0.386
Sr 0.669 0.250 0.868
Sr 0.831 0.750 0.368
Sr 0.967 0.609 0.886
Sr 0.967 0.891 0.886
Mg 0.174 0.034 0.605
Mg 0.174 0.466 0.605
Mg 0.175 0.750 0.626
Mg 0.325 0.250 0.126
Mg 0.326 0.534 0.105
Mg 0.326 0.966 0.105
Mg 0.674 0.034 0.895
Mg 0.674 0.466 0.895
Mg 0.675 0.750 0.874
Mg 0.825 0.250 0.374
Mg 0.826 0.534 0.395
Mg 0.826 0.966 0.395
Hg 0.117 0.610 0.382
Hg 0.117 0.890 0.382
Hg 0.383 0.110 0.882
Hg 0.383 0.390 0.882
Hg 0.617 0.610 0.118
Hg 0.617 0.890 0.118
Hg 0.883 0.110 0.618
Hg 0.883 0.390 0.618

Top 10 peaks for 2θ from 10° to 90°, low angle first:
d = 6.084 Å, I = 335; d = 4.439 Å, I = 537; d = 3.924 Å, I = 490; d = 3.564 Å, I = 420; d = 3.000 Å, I = 621; d = 2.831 Å, I = 698; d = 2.706 Å, I = 1000; d = 2.510 Å, I = 413; d = 1.949 Å, I = 367; d = 1.780 Å, I = 260


10.
The following is a theoretical powder diffraction line list of Cs3Hg6Sb5. It was derived from the PBE geometry in Alexandria, using Cu Kα.

Crystal structure
Unit cell a=5.057 b=16.253 c=12.368 alpha=90.00 beta=90.00 gamma=90.00
Atoms (fractional coordinates):
Cs 0.250 0.050 0.226
Cs 0.250 0.450 0.226
Cs 0.250 0.750 0.324
Cs 0.750 0.250 0.676
Cs 0.750 0.550 0.774
Cs 0.750 0.950 0.774
Hg 0.250 0.134 0.843
Hg 0.250 0.250 0.106
Hg 0.250 0.250 0.436
Hg 0.250 0.366 0.843
Hg 0.250 0.591 0.532
Hg 0.250 0.909 0.532
Hg 0.750 0.091 0.468
Hg 0.750 0.409 0.468
Hg 0.750 0.634 0.157
Hg 0.750 0.750 0.564
Hg 0.750 0.750 0.894
Hg 0.750 0.866 0.157
Sb 0.250 0.081 0.605
Sb 0.250 0.419 0.605
Sb 0.250 0.661 0.033
Sb 0.250 0.750 0.672
Sb 0.250 0.839 0.033
Sb 0.750 0.161 0.967
Sb 0.750 0.250 0.328
Sb 0.750 0.339 0.967
Sb 0.750 0.581 0.395
Sb 0.750 0.919 0.395

Top 10 peaks for 2θ from 10° to 90°, low angle first:
d = 3.173 Å, I = 1000; d = 3.139 Å, I = 771; d = 3.069 Å, I = 503; d = 2.974 Å, I = 616; d = 2.646 Å, I = 339; d = 2.604 Å, I = 262; d = 2.529 Å, I = 726; d = 2.213 Å, I = 251; d = 1.828 Å, I = 241; d = 1.572 Å, I = 260


11.
The following is a theoretical powder diffraction line list of Ca2Tl2Hg2Pb. It was derived from the PBE geometry in Alexandria, using Cu Kα.

Crystal structure
Unit cell a=8.746 b=8.746 c=8.746 alpha=35.16 beta=35.16 gamma=35.16
Atoms (fractional coordinates):
Ca 0.081 0.081 0.081
Ca 0.919 0.919 0.919
Tl 0.351 0.351 0.351
Tl 0.649 0.649 0.649
Hg 0.216 0.216 0.216
Hg 0.784 0.784 0.784
Pb 0.500 0.500 0.500

Top 10 peaks for 2θ from 10° to 90°, low angle first:
d = 4.498 Å, I = 219; d = 4.288 Å, I = 140; d = 2.786 Å, I = 1000; d = 2.642 Å, I = 908; d = 1.917 Å, I = 343; d = 1.640 Å, I = 183; d = 1.552 Å, I = 349; d = 1.525 Å, I = 172; d = 1.232 Å, I = 144; d = 1.194 Å, I = 150


12.
The following is a theoretical powder diffraction line list of CeAl4Pd. It was derived from the PBE geometry in Alexandria, using Cu Kα.

Crystal structure
Unit cell a=4.255 b=6.700 c=8.216 alpha=90.00 beta=104.91 gamma=90.00
Atoms (fractional coordinates):
Ce 0.114 0.250 0.227
Ce 0.886 0.750 0.773
Al 0.071 0.750 0.143
Al 0.318 0.051 0.635
Al 0.318 0.449 0.635
Al 0.500 0.000 0.000
Al 0.500 0.500 0.000
Al 0.682 0.551 0.365
Al 0.682 0.949 0.365
Al 0.929 0.250 0.857
Pd 0.224 0.750 0.449
Pd 0.776 0.250 0.551

Top 10 peaks for 2θ from 10° to 90°, low angle first:
d = 7.940 Å, I = 441; d = 4.110 Å, I = 324; d = 3.350 Å, I = 432; d = 2.972 Å, I = 1000; d = 2.597 Å, I = 774; d = 2.462 Å, I = 508; d = 2.379 Å, I = 435; d = 2.357 Å, I = 287; d = 2.128 Å, I = 370; d = 1.852 Å, I = 306


Copy entry 7 word for word.
The following is a theoretical powder diffraction line list of BeSi2Ge2Rh5. It was derived from the PBE geometry in Alexandria, using Cu Kα.

Crystal structure
Unit cell a=10.021 b=10.021 c=2.819 alpha=90.00 beta=90.00 gamma=90.00
Atoms (fractional coordinates):
Be 0.000 0.000 0.000
Be 0.500 0.500 0.000
Si 0.148 0.352 0.000
Si 0.352 0.852 0.000
Si 0.648 0.148 0.000
Si 0.852 0.648 0.000
Ge 0.154 0.654 0.000
Ge 0.346 0.154 0.000
Ge 0.654 0.846 0.000
Ge 0.846 0.346 0.000
Rh 0.000 0.500 0.500
Rh 0.136 0.153 0.500
Rh 0.153 0.864 0.500
Rh 0.347 0.364 0.500
Rh 0.364 0.653 0.500
Rh 0.500 0.000 0.500
Rh 0.636 0.347 0.500
Rh 0.653 0.636 0.500
Rh 0.847 0.136 0.500
Rh 0.864 0.847 0.500

Top 10 peaks for 2θ from 10° to 90°, low angle first:
d = 3.543 Å, I = 123; d = 3.169 Å, I = 360; d = 2.819 Å, I = 135; d = 2.505 Å, I = 333; d = 2.241 Å, I = 188; d = 2.106 Å, I = 1000; d = 1.810 Å, I = 259; d = 1.771 Å, I = 200; d = 1.670 Å, I = 173; d = 1.192 Å, I = 347